Simulated powder diffraction line list
Compound: Na3Pb2Br7
Radiation: CuKα
Structure: a structure optimized by DFT (PBE)
No peak broadening, texture or thermal motion is included.

abc: 26.567 7.700 7.973
angles: 90.00 90.00 90.00
Space group Cmc2_1 (No. 36)
Asymmetric unit:
Na1 0.000 0.221 0.000 [4 per cell]
Na2 0.196 0.253 0.119 [8 per cell]
Pb1 0.109 0.254 0.532 [8 per cell]
Br1 0.000 0.124 0.646 [4 per cell]
Br2 0.082 0.392 0.179 [8 per cell]
Br3 0.149 0.056 0.831 [8 per cell]
Br4 0.210 0.397 0.469 [8 per cell]

Peak list (10 most intense, 2θ = 5–70°, low angle first)
hkl	2theta	I/Imax
4 0 0	13.3	739
1 1 1	16.3	1000
3 1 1	18.9	319
5 1 1	23.2	546
7 1 0	26.2	461
0 2 2	32.3	375
9 1 1	34.4	551
4 2 2	35.1	483
5 1 3	39.7	403
5 3 1	40.6	697